The following is a computed powder diffractogram of MnCu8Ni2. It was derived from a crystal structure in Alexandria, relaxed with GGA-PBE, using λ = 1.5418 Å (Cu Kα).
Peak positions follow from Bragg's law for the DFT cell and can differ from measured ones.

Crystal structure
Lattice parameters (Å, degrees): 10.928 6.480 4.283 90.00 103.78 90.00
Space group C2/m (No. 12)
Symmetry-distinct sites (fractional):
1 Mn 0.000 0.000 0.000
2 Cu 0.068 0.314 0.783
3 Cu 0.146 0.500 0.327
4 Cu 0.230 0.000 0.101
5 Ni 0.118 0.000 0.536

The 12 most intense peaks (2θ from 10° to 90°), in order of rising 2θ:
2θ (°)  d_spacing  intensity  (hkl)
27.53  3.240  25  0 2 0
32.37  2.765  23  2 2 0
36.72  2.447  10  2 2 -1
41.39  2.182  23  2 2 1
42.72  2.116  26  1 3 0
44.63  2.030  100  4 0 1
45.31  2.002  47  5 1 -1
45.53  1.992  29  4 2 -1
51.66  1.769  20  3 3 -1
52.26  1.750  10  0 2 2
57.10  1.613  15  3 3 1
88.12  1.109  11  1 5 -2